Computed powder X-ray diffraction pattern of Ta3Co8Si for Cu Kα X-rays, from a cell relaxed with PBE.
Neutral-atom scattering factors, no anomalous dispersion.

Crystal structure
```
data_Ta3Co8Si
_cell_length_a 4.7420
_cell_length_b 4.7420
_cell_length_c 7.6788
_cell_angle_alpha 90.00
_cell_angle_beta 90.00
_cell_angle_gamma 120.00
_symmetry_space_group_name_H-M 'P 3 m 1'
_symmetry_Int_Tables_number 156
loop_
_symmetry_equiv_pos_as_xyz
'x,y,z'
'-y,x-y,z'
'-x+y,-x,z'
'-y,-x,z'
'-x+y,y,z'
'x,x-y,z'
loop_
_atom_site_label
_atom_site_fract_x
_atom_site_fract_y
_atom_site_fract_z
Ta1 0.0000 0.0000 0.0000
Ta2 0.0000 0.0000 0.3727
Ta3 0.3333 0.6667 0.5350
Co1 0.0048 0.5024 0.1912
Co2 0.3306 0.1653 0.6930
Co3 0.6667 0.3333 0.4391
Co4 0.6667 0.3333 0.9406
Si1 0.3333 0.6667 0.9011
```

Main lines, in order of falling intensity (5° ≤ 2θ ≤ 70°):
2θ = 41.57°, d = 2.172 Å, I 100.0, hkl 1 0 3; 2θ = 44.93°, d = 2.017 Å, I 88.9, hkl 1 1 2; 2θ = 45.74°, d = 1.984 Å, I 68.9, hkl 2 0 1; 2θ = 37.95°, d = 2.371 Å, I 62.9, hkl 1 1 0; 2θ = 31.91°, d = 2.805 Å, I 34.4, hkl 0 1 2; 2θ = 24.58°, d = 3.621 Å, I 30.4, hkl 0 1 1